Entry 1:
Diffraction record for Ca3Ga3Ge3O14. The powder diffraction line list is theoretical, not measured: it uses a structure optimized by DFT (GGA-PBE) and λ = 1.5418 Å (Cu Kα).
Intensities are scaled so that the largest is 100.

Structural model:
```
data_Ca3Ga3Ge3O14
_chemical_formula_sum 'Ca3 Ga3 Ge3 O14'
_space_group_name_H-M_alt 'P 3 2 1'
_space_group_IT_number 150
_cell_length_a 8.2373
_cell_length_b 8.2373
_cell_length_c 5.0375
_cell_angle_alpha 90.00
_cell_angle_beta 90.00
_cell_angle_gamma 120.00
loop_
_space_group_symop_operation_xyz
'x,y,z'
'-y,x-y,z'
'-x+y,-x,z'
'y,x,-z'
'x-y,-y,-z'
'-x,-x+y,-z'
loop_
_atom_site_label
_atom_site_fract_x
_atom_site_fract_y
_atom_site_fract_z
Ca1 0.0000 0.5803 0.0000
Ga1 0.0000 0.2436 0.5000
Ge1 0.0000 0.0000 0.0000
Ge2 0.3333 0.6667 0.5419
O1 0.0785 0.8638 0.2296
O2 0.1467 0.4648 0.6978
O3 0.3333 0.6667 0.1980
```

Main lines, in order of falling intensity (15 to 90 degrees two-theta):
d 2.911, I 100.0, hkl 0 2 1
d 2.377, I 97.2, hkl 1 2 1
d 3.189, I 78.8, hkl 1 1 1
d 1.556, I 60.5, hkl 4 1 0
d 1.841, I 49.2, hkl 1 2 2
d 4.118, I 48.2, hkl 1 1 0
d 2.696, I 32.1, hkl 2 1 0
d 1.729, I 24.8, hkl 0 3 2

---

Entry 2:
Diffraction record for K2NaTlO3. The powder diffraction line list is theoretical, not measured: it uses a structure optimized by DFT (GGA-PBE) and λ = 1.5418 Å (Cu Kα).
Intensities are scaled so that the largest is 100.

Structural model:
```
data_K2NaTlO3
_chemical_formula_sum 'K8 Na4 Tl4 O12'
_space_group_name_H-M_alt 'P 1 21/c 1'
_space_group_IT_number 14
_cell_length_a 6.4890
_cell_length_b 7.0423
_cell_length_c 12.1411
_cell_angle_alpha 90.00
_cell_angle_beta 95.21
_cell_angle_gamma 90.00
loop_
_space_group_symop_operation_xyz
'x,y,z'
'-x,-y,-z'
'-x,y+1/2,-z+1/2'
'x,-y+1/2,z+1/2'
loop_
_atom_site_label
_atom_site_fract_x
_atom_site_fract_y
_atom_site_fract_z
K1 0.0682 0.1382 0.1389
K2 0.4208 0.6643 0.8540
Na1 0.3618 0.1244 0.9122
Tl1 0.1469 0.6251 0.0912
O1 0.1954 0.1017 0.4592
O2 0.2473 0.0051 0.7446
O3 0.2813 0.6209 0.5326
```

Main lines, in order of falling intensity (15 to 90 degrees two-theta):
d 2.965, I 100.0, hkl 1 2 1
d 4.630, I 47.1, hkl 1 0 -2
d 4.535, I 46.2, hkl 1 1 -1
d 2.506, I 42.0, hkl 1 2 -3
d 2.650, I 38.3, hkl 0 2 3
d 2.748, I 38.0, hkl 2 0 2
d 4.761, I 36.9, hkl 1 1 0
d 2.778, I 24.6, hkl 0 1 4

---

Entry 3:
Diffraction record for InHg5. The powder diffraction line list is theoretical, not measured: it uses a structure optimized by DFT (GGA-PBE) and λ = 1.5418 Å (Cu Kα).
Intensities are scaled so that the largest is 100.

Structural model:
```
data_InHg5
_chemical_formula_sum 'In1 Hg5'
_space_group_name_H-M_alt 'P -6 2 m'
_space_group_IT_number 189
_space_group_name_Hall 'P -6 -2'
_cell_length_a 5.8650
_cell_length_b 5.8650
_cell_length_c 5.4174
_cell_angle_alpha 90.00
_cell_angle_beta 90.00
_cell_angle_gamma 120.00
loop_
_atom_site_label
_atom_site_fract_x
_atom_site_fract_y
_atom_site_fract_z
In1 0.0000 0.0000 0.0000
Hg1 0.0000 0.6658 0.5000
Hg2 0.3333 0.6667 0.0000
```

Main lines, in order of falling intensity (15 to 90 degrees two-theta):
d 2.579, I 100.0, hkl 1 1 1
d 2.709, I 25.3, hkl 0 0 2
d 2.932, I 23.8, hkl 1 1 0
d 1.436, I 22.2, hkl 3 0 2
d 1.538, I 20.9, hkl 1 1 3
d 1.693, I 19.0, hkl 3 0 0
d 1.990, I 16.1, hkl 1 1 2
d 1.415, I 15.9, hkl 2 2 1

---

Entry 4:
Diffraction record for PmZn8Ru2. The powder diffraction line list is theoretical, not measured: it uses a structure optimized by DFT (GGA-PBE) and λ = 1.5418 Å (Cu Kα).
Intensities are scaled so that the largest is 100.

Structural model:
```
data_PmZn8Ru2
_chemical_formula_sum 'Pm2 Zn16 Ru4'
_space_group_name_H-M_alt 'C 1 2/m 1'
_space_group_IT_number 12
_cell_length_a 7.1396
_cell_length_b 13.6929
_cell_length_c 4.6375
_cell_angle_alpha 90.00
_cell_angle_beta 130.33
_cell_angle_gamma 90.00
loop_
_space_group_symop_operation_xyz
'x,y,z'
'-x,-y,-z'
'-x,y,-z'
'x,-y,z'
'x+1/2,y+1/2,z'
'-x+1/2,-y+1/2,-z'
'-x+1/2,y+1/2,-z'
'x+1/2,-y+1/2,z'
loop_
_atom_site_label
_atom_site_fract_x
_atom_site_fract_y
_atom_site_fract_z
Pm1 0.0000 0.0000 0.0000
Zn1 0.0000 0.2108 0.0000
Zn2 0.0004 0.5000 0.2505
Zn3 0.2371 0.1371 0.7375
Ru1 0.0000 0.3171 0.5000
```

Main lines, in order of falling intensity (15 to 90 degrees two-theta):
d 2.318, I 100.0, hkl 2 0 -2
d 2.358, I 84.3, hkl 1 5 -1
d 2.130, I 72.0, hkl 2 4 0
d 2.087, I 52.9, hkl 3 3 -1
d 2.310, I 49.1, hkl 3 1 -1
d 2.457, I 42.9, hkl 2 4 -1
d 1.933, I 38.8, hkl 1 3 -2
d 2.282, I 38.3, hkl 0 6 0

---

Entry 5:
Diffraction record for SmCoP2Rh2. The powder diffraction line list is theoretical, not measured: it uses a structure optimized by DFT (GGA-PBE) and λ = 1.5418 Å (Cu Kα).
Intensities are scaled so that the largest is 100.

Structural model:
```
data_SmCoP2Rh2
_chemical_formula_sum 'Sm1 Co1 P2 Rh2'
_space_group_name_H-M_alt 'P 4/m m m'
_space_group_IT_number 123
_space_group_name_Hall '-P 4 2'
_cell_length_a 4.2589
_cell_length_b 4.2589
_cell_length_c 5.4415
_cell_angle_alpha 90.00
_cell_angle_beta 90.00
_cell_angle_gamma 90.00
loop_
_atom_site_label
_atom_site_fract_x
_atom_site_fract_y
_atom_site_fract_z
Sm1 0.0000 0.0000 0.0000
Co1 0.0000 0.0000 0.5000
P1 0.0000 0.5000 0.5000
Rh1 0.5000 0.5000 0.2500
```

Main lines, in order of falling intensity (15 to 90 degrees two-theta):
d 2.293, I 100.0, hkl 1 0 2
d 3.012, I 78.2, hkl 1 1 0
d 1.560, I 58.7, hkl 2 1 2
d 2.129, I 52.2, hkl 2 0 0
d 2.635, I 18.4, hkl 1 1 1
d 1.506, I 16.8, hkl 2 2 0
d 1.259, I 14.1, hkl 3 0 2
d 1.146, I 13.8, hkl 2 0 4

---

Entry 6:
Diffraction record for CsAl2In2. The powder diffraction line list is theoretical, not measured: it uses a structure optimized by DFT (GGA-PBE) and λ = 1.5418 Å (Cu Kα).
Intensities are scaled so that the largest is 100.

Structural model:
```
data_CsAl2In2
_chemical_formula_sum 'Cs2 Al4 In4'
_space_group_name_H-M_alt 'I 4/m m m'
_space_group_IT_number 139
_space_group_name_Hall '-I 4 2'
_cell_length_a 4.9194
_cell_length_b 4.9194
_cell_length_c 12.0667
_cell_angle_alpha 90.00
_cell_angle_beta 90.00
_cell_angle_gamma 90.00
loop_
_atom_site_label
_atom_site_fract_x
_atom_site_fract_y
_atom_site_fract_z
Cs1 0.0000 0.0000 0.0000
Al1 0.0000 0.0000 0.3856
In1 0.0000 0.5000 0.2500
```

Main lines, in order of falling intensity (15 to 90 degrees two-theta):
d 3.014, I 100.0, hkl 1 1 2
d 1.507, I 30.8, hkl 0 0 8
d 2.460, I 30.7, hkl 2 0 0
d 1.740, I 24.6, hkl 2 2 0
d 3.114, I 17.3, hkl 1 0 3
d 1.906, I 15.7, hkl 2 0 4
d 4.555, I 13.2, hkl 1 0 1
d 1.230, I 12.2, hkl 4 0 0

---

Copy entry 2 word for word.
Diffraction record for K2NaTlO3. The powder diffraction line list is theoretical, not measured: it uses a structure optimized by DFT (GGA-PBE) and λ = 1.5418 Å (Cu Kα).
Intensities are scaled so that the largest is 100.

Structural model:
```
data_K2NaTlO3
_chemical_formula_sum 'K8 Na4 Tl4 O12'
_space_group_name_H-M_alt 'P 1 21/c 1'
_space_group_IT_number 14
_cell_length_a 6.4890
_cell_length_b 7.0423
_cell_length_c 12.1411
_cell_angle_alpha 90.00
_cell_angle_beta 95.21
_cell_angle_gamma 90.00
loop_
_space_group_symop_operation_xyz
'x,y,z'
'-x,-y,-z'
'-x,y+1/2,-z+1/2'
'x,-y+1/2,z+1/2'
loop_
_atom_site_label
_atom_site_fract_x
_atom_site_fract_y
_atom_site_fract_z
K1 0.0682 0.1382 0.1389
K2 0.4208 0.6643 0.8540
Na1 0.3618 0.1244 0.9122
Tl1 0.1469 0.6251 0.0912
O1 0.1954 0.1017 0.4592
O2 0.2473 0.0051 0.7446
O3 0.2813 0.6209 0.5326
```

Main lines, in order of falling intensity (15 to 90 degrees two-theta):
d 2.965, I 100.0, hkl 1 2 1
d 4.630, I 47.1, hkl 1 0 -2
d 4.535, I 46.2, hkl 1 1 -1
d 2.506, I 42.0, hkl 1 2 -3
d 2.650, I 38.3, hkl 0 2 3
d 2.748, I 38.0, hkl 2 0 2
d 4.761, I 36.9, hkl 1 1 0
d 2.778, I 24.6, hkl 0 1 4

---

Repeat the sixth record exactly.
Diffraction record for CsAl2In2. The powder diffraction line list is theoretical, not measured: it uses a structure optimized by DFT (GGA-PBE) and λ = 1.5418 Å (Cu Kα).
Intensities are scaled so that the largest is 100.

Structural model:
```
data_CsAl2In2
_chemical_formula_sum 'Cs2 Al4 In4'
_space_group_name_H-M_alt 'I 4/m m m'
_space_group_IT_number 139
_space_group_name_Hall '-I 4 2'
_cell_length_a 4.9194
_cell_length_b 4.9194
_cell_length_c 12.0667
_cell_angle_alpha 90.00
_cell_angle_beta 90.00
_cell_angle_gamma 90.00
loop_
_atom_site_label
_atom_site_fract_x
_atom_site_fract_y
_atom_site_fract_z
Cs1 0.0000 0.0000 0.0000
Al1 0.0000 0.0000 0.3856
In1 0.0000 0.5000 0.2500
```

Main lines, in order of falling intensity (15 to 90 degrees two-theta):
d 3.014, I 100.0, hkl 1 1 2
d 1.507, I 30.8, hkl 0 0 8
d 2.460, I 30.7, hkl 2 0 0
d 1.740, I 24.6, hkl 2 2 0
d 3.114, I 17.3, hkl 1 0 3
d 1.906, I 15.7, hkl 2 0 4
d 4.555, I 13.2, hkl 1 0 1
d 1.230, I 12.2, hkl 4 0 0